NaWCl2O2: calculated XRD peak list (Cu Kα X-rays), based on the GGA+U geometry in Alexandria.
Kinematic intensities with the Lorentz-polarization factor, no thermal factor.

The 12 most intense peaks (10° ≤ 2θ ≤ 90°), sorted by position:
2θ = 11.08°, d 7.983, intensity 100, (0 0 2)
2θ = 22.27°, d 3.991, intensity 26, (0 0 4)
2θ = 22.89°, d 3.886, intensity 40, (1 0 0)
2θ = 23.56°, d 3.777, intensity 66, (0 1 1)
2θ = 25.49°, d 3.494, intensity 35, (1 0 2)
2θ = 33.08°, d 2.708, intensity 43, (1 1 1)
2θ = 33.68°, d 2.661, intensity 20, (0 0 6)
2θ = 41.11°, d 2.195, intensity 21, (1 0 6)
2θ = 43.44°, d 2.083, intensity 19, (1 1 5)
2θ = 46.14°, d 1.967, intensity 16, (0 1 7)
2θ = 46.75°, d 1.943, intensity 20, (2 0 0)
2θ = 58.84°, d 1.569, intensity 15, (2 0 6)

Structural model:
Cell: 3.886 3.887 15.965 Å, 90.00 90.00 90.00°
Space group Amm2 (No. 38)
Symmetry-distinct sites (fractional):
Na: 0.000 0.000 0.000 [2 per cell]
W: 0.500 0.000 0.722 [2 per cell]
Cl: 0.500 0.000 0.562 [2 per cell]
Cl: 0.500 0.000 0.875 [2 per cell]
O: 0.000 0.000 0.719 [2 per cell]
O: 0.500 0.000 0.219 [2 per cell]